Diffraction record for Sm3NbO7. The X-ray powder pattern is theoretical, not measured: it uses the PBE geometry in the Materials Project and Cu Kα, 1.54184 Å.
No peak broadening, texture or thermal motion is included.

Principal peaks in the range 15° ≤ 2θ ≤ 90°, in order of rising 2θ:
two_theta, Rel. int.
28.52, 100
33.00, 23
33.14, 10
47.37, 15
47.47, 28
56.22, 26
56.41, 12
59.03, 9
76.67, 8
78.90, 7

Structural model:
Lattice parameters (Å, degrees): 6.630 6.630 7.677 90.00 90.00 109.25
Sites, in units of the cell vectors:
Sm  0.026  0.026  0.000
Sm  0.036  0.499  0.255
Sm  0.499  0.036  0.745
Sm  0.501  0.964  0.245
Sm  0.964  0.501  0.755
Sm  0.974  0.974  0.500
Nb  0.497  0.497  0.500
Nb  0.503  0.503  0.000
O  0.130  0.870  0.750
O  0.136  0.864  0.250
O  0.176  0.421  0.974
O  0.189  0.440  0.537
O  0.421  0.176  0.026
O  0.435  0.565  0.250
O  0.440  0.189  0.463
O  0.560  0.811  0.963
O  0.565  0.435  0.750
O  0.579  0.824  0.526
O  0.811  0.560  0.037
O  0.824  0.579  0.474
O  0.864  0.136  0.750
O  0.870  0.130  0.250